# 1
For LiSmPuO5, DFT lattice parameters and positions (GGA-PBE) gives the theoretical PXRD pattern in this record (a wavelength of 1.5418 Å).
Neutral-atom scattering factors, no anomalous dispersion.

Top 10 peaks for 2θ = 15–90°, by intensity:
two_theta, I/Imax, hkl
32.11, 100, 1 3 -1
23.93, 92, 1 1 1
17.07, 68, 1 1 -1
28.59, 46, 2 0 -2
16.30, 44, 1 1 0
32.95, 32, 2 2 0
53.98, 31, 1 5 1
52.88, 26, 3 3 -3
38.30, 20, 3 1 -1
44.72, 19, 2 0 2

Crystal structure
abc: 7.3161 9.3571 7.5818
angles: 90.00 114.04 90.00
Space group C2/c (No. 15)
Inequivalent atoms, fractional coordinates:
Li  0.0000  0.0573  0.2500 [4 per cell]
Sm  0.0000  0.4367  0.2500 [4 per cell]
Pu  0.2500  0.2500  0.0000 [4 per cell]
O  0.0000  0.3132  0.7500 [4 per cell]
O  0.0679  0.2159  0.1203 [8 per cell]
O  0.2266  0.4691  0.0711 [8 per cell]

---

# 2
For LiPuSnO5, DFT lattice parameters and positions (GGA-PBE) gives the theoretical PXRD pattern in this record (a wavelength of 1.5418 Å).
Neutral-atom scattering factors, no anomalous dispersion.

Top 10 peaks for 2θ = 15–90°, by intensity:
two_theta, I/Imax, hkl
16.85, 100, 1 1 -1
23.79, 93, 1 1 1
30.83, 58, 0 2 2
31.46, 54, 1 3 -1
28.33, 41, 2 0 -2
33.54, 34, 2 2 0
16.59, 27, 1 1 0
39.65, 27, 3 1 -1
49.88, 22, 2 2 -4
34.86, 21, 1 1 -3

Crystal structure
abc: 7.0845 9.5601 8.0240
angles: 90.00 114.55 90.00
Space group C2/c (No. 15)
Inequivalent atoms, fractional coordinates:
Li  0.0000  0.0529  0.2500 [4 per cell]
Pu  0.2500  0.2500  0.0000 [4 per cell]
Sn  0.0000  0.4422  0.2500 [4 per cell]
O  0.0000  0.3341  0.7500 [4 per cell]
O  0.0539  0.1863  0.0822 [8 per cell]
O  0.2411  0.4413  0.1042 [8 per cell]

---

# 3
For Sr2Li2PuO6, DFT lattice parameters and positions (GGA-PBE) gives the theoretical PXRD pattern in this record (a wavelength of 1.5418 Å).
Neutral-atom scattering factors, no anomalous dispersion.

Top 10 peaks for 2θ = 15–90°, by intensity:
two_theta, I/Imax, hkl
18.30, 100, 1 0 1
30.40, 61, 1 1 0
33.40, 47, 0 1 5
28.62, 46, 1 0 4
42.24, 32, 0 2 4
61.57, 25, 1 1 9
55.95, 25, 1 2 5
45.79, 21, 2 0 5
35.71, 18, 0 2 1
52.93, 18, 2 1 4

Crystal structure
abc: 5.8810 5.8810 15.7776
angles: 90.00 90.00 120.00
Space group R-3m (No. 166, hexagonal axes)
Inequivalent atoms, fractional coordinates:
Sr  0.0000  0.0000  0.2161 [6 per cell]
Li  0.0000  0.0000  0.4237 [6 per cell]
Pu  0.0000  0.0000  0.0000 [3 per cell]
O  0.0210  0.5105  0.7503 [18 per cell]

---

# 4
For Li2PuTcO8, DFT lattice parameters and positions (GGA-PBE) gives the theoretical PXRD pattern in this record (a wavelength of 1.5418 Å).
Neutral-atom scattering factors, no anomalous dispersion.

Top 10 peaks for 2θ = 15–90°, by intensity:
two_theta, I/Imax, hkl
18.41, 100, 1 0 1
31.41, 42, 1 1 2
27.93, 33, 2 0 0
33.66, 31, 2 1 1
51.65, 26, 3 1 2
39.45, 21, 1 0 3
44.29, 14, 3 0 1
53.18, 12, 3 2 1
49.03, 9, 2 1 3
57.98, 9, 2 0 4

Crystal structure
abc: 6.3884 6.3884 7.3371
angles: 90.00 90.00 90.00
Space group I-4m2 (No. 119)
Inequivalent atoms, fractional coordinates:
Li  0.0000  0.0000  0.0000 [2 per cell]
Li  0.0000  0.5000  0.2500 [2 per cell]
Pu  0.0000  0.0000  0.5000 [2 per cell]
Tc  0.0000  0.5000  0.7500 [2 per cell]
O  0.0000  0.2344  0.8306 [8 per cell]
O  0.0000  0.2920  0.4641 [8 per cell]